The following is a simulated PXRD pattern of SrCoGe2O6. It was derived from the GGA+U geometry in the Materials Project, using copper Kα.
Lines closer than 0.1° are merged.

Structure:
```
SrCoGe2O6
1.0
7.002 0.000 0.000
-0.405 8.001 0.000
-1.869 -2.351 9.328
Sr Co Ge O
4 4 8 24
Direct
0.195 0.027 0.222
0.195 0.528 0.722
0.805 0.472 0.278
0.805 0.973 0.778
0.408 0.171 0.578
0.409 0.671 0.079
0.591 0.329 0.921
0.592 0.829 0.422
0.123 0.302 0.987
0.123 0.803 0.487
0.315 0.456 0.334
0.316 0.956 0.834
0.684 0.044 0.166
0.685 0.544 0.666
0.877 0.197 0.513
0.877 0.698 0.013
0.116 0.204 0.607
0.116 0.705 0.107
0.124 0.341 0.178
0.125 0.842 0.677
0.164 0.572 0.447
0.165 0.072 0.947
0.309 0.923 0.445
0.310 0.424 0.947
0.403 0.287 0.403
0.403 0.786 0.902
0.477 0.589 0.280
0.478 0.091 0.781
0.522 0.909 0.219
0.523 0.411 0.720
0.597 0.214 0.098
0.597 0.713 0.597
0.690 0.576 0.053
0.691 0.077 0.555
0.835 0.928 0.053
0.836 0.428 0.553
0.875 0.158 0.323
0.876 0.659 0.822
0.884 0.295 0.893
0.884 0.796 0.393
```

Largest 10 diffraction maxima, in order of falling intensity, 5° ≤ 2θ ≤ 70°:
two_theta  d [Å]  intensity  h k l
28.19  3.165  100.0  0 1 -3
33.63  2.665  68.6  2 1 1
33.46  2.678  45.5  0 2 2
33.16  2.701  32.6  2 -2 0
28.98  3.081  28.9  2 0 -2
42.10  2.146  28.6  2 0 -4
28.39  3.143  21.4  2 1 -1
53.05  1.726  19.8  4 0 -2
58.00  1.590  18.1  -2 4 2
26.05  3.421  17.6  0 2 -2